# 1
Computed XRD peak list
Compound: Li2FeGeO4
Radiation: Cu Kα (λ = 1.5418 Å)
Structure: the GGA+U geometry in the Materials Project
Neutral-atom scattering factors, no anomalous dispersion.

Main lines, in order of rising 2θ (10 to 90 degrees two-theta):
Position (°2θ)	I (rel.)	(hkl)
16.0	38	0 1 0
23.7	100	0 1 1
27.4	44	2 0 0
31.9	37	2 1 0
32.4	23	0 2 0
35.2	38	0 0 2
36.6	43	2 1 1
46.6	24	2 2 1
56.6	26	4 0 0
57.5	24	2 3 0

Atomic structure:
Unit cell a=6.504 b=5.530 c=5.101 alpha=90.00 beta=90.00 gamma=90.00
Space group Pmn2_1 (No. 31)
Symmetry-distinct sites (fractional):
Li (0.250, 0.168, 0.000) [4 per cell]
Fe (0.000, 0.323, 0.495) [2 per cell]
Ge (0.000, 0.668, 0.007) [2 per cell]
O (0.000, 0.360, 0.902) [2 per cell]
O (0.000, 0.675, 0.356) [2 per cell]
O (0.225, 0.820, 0.893) [4 per cell]

# 2
Computed XRD peak list
Compound: LiCr2S3O12
Radiation: Cu Kα (λ = 1.5418 Å)
Structure: the GGA+U geometry in the Materials Project
Neutral-atom scattering factors, no anomalous dispersion.

Main lines, in order of rising 2θ (10 to 90 degrees two-theta):
Position (°2θ)	I (rel.)	(hkl)
14.4	17	0 1 2
20.3	32	1 0 4
20.5	15	1 1 0
24.0	100	1 1 3
29.0	24	0 2 4
31.8	14	2 1 1
32.4	27	1 1 6
35.9	17	3 0 0
46.5	12	1 2 8
56.1	16	4 1 0

Atomic structure:
Unit cell a=8.6701 b=8.6701 c=21.5065 alpha=90.00 beta=90.00 gamma=120.00
Space group R-3c (No. 167, hexagonal axes)
Symmetry-distinct sites (fractional):
Li (0.0000, 0.0000, 0.0000) [6 per cell]
Cr (0.0000, 0.0000, 0.1433) [12 per cell]
S (0.0000, 0.2945, 0.2500) [18 per cell]
O (0.0004, 0.2013, 0.1929) [36 per cell]
O (0.0204, 0.1912, 0.9204) [36 per cell]

# 3
Computed XRD peak list
Compound: MgMn2O4
Radiation: Cu Kα (λ = 1.5418 Å)
Structure: the GGA+U geometry in the Materials Project
Neutral-atom scattering factors, no anomalous dispersion.

Main lines, in order of rising 2θ (10 to 90 degrees two-theta):
Position (°2θ)	I (rel.)	(hkl)
17.2	100	0 0 2
34.5	32	2 1 -2
34.9	19	0 2 0
38.4	26	2 1 0
39.1	20	0 2 2
39.2	23	2 1 -4
49.2	21	2 1 2
50.1	25	0 2 4
50.6	19	2 1 -6
62.2	17	2 3 -2

Atomic structure:
Unit cell a=6.027 b=5.151 c=11.769 alpha=90.00 beta=119.07 gamma=90.00
Space group P2/c (No. 13)
Symmetry-distinct sites (fractional):
Mg (0.000, 0.011, 0.250) [2 per cell]
Mg (0.500, 0.351, 0.250) [2 per cell]
Mn (0.000, 0.500, 0.000) [2 per cell]
Mn (0.265, 0.012, 0.516) [4 per cell]
Mn (0.500, 0.500, 0.000) [2 per cell]
O (0.135, 0.182, 0.119) [4 per cell]
O (0.149, 0.266, 0.897) [4 per cell]
O (0.343, 0.358, 0.602) [4 per cell]
O (0.372, 0.191, 0.388) [4 per cell]

# 4
Computed XRD peak list
Compound: Li9Mn2Co5O16
Radiation: Cu Kα (λ = 1.5418 Å)
Structure: the GGA+U geometry in the Materials Project
Neutral-atom scattering factors, no anomalous dispersion.

Main lines, in order of rising 2θ (10 to 90 degrees two-theta):
Position (°2θ)	I (rel.)	(hkl)
18.3	100	0 2 0
35.6	15	1 0 2
36.0	13	1 1 -2
36.3	12	0 1 4
37.5	11	-1 1 2
42.8	29	1 -2 2
43.5	28	1 3 -2
44.1	25	0 3 4
63.1	8	2 1 0
80.1	9	-2 2 4

Atomic structure:
Unit cell a=2.949 b=9.837 c=10.085 alpha=86.10 beta=89.51 gamma=82.07
Space group P1 (No. 1)
Symmetry-distinct sites (fractional):
Li (0.000, 0.000, 0.000) [1 per cell]
Li (0.002, 0.999, 0.510) [1 per cell]
Li (0.134, 0.743, 0.194) [1 per cell]
Li (0.233, 0.507, 0.375) [1 per cell]
Li (0.259, 0.506, 0.880) [1 per cell]
Li (0.493, 0.996, 0.246) [1 per cell]
Li (0.499, 0.009, 0.756) [1 per cell]
Li (0.738, 0.515, 0.130) [1 per cell]
Li (0.767, 0.499, 0.632) [1 per cell]
Mn (0.618, 0.750, 0.434) [1 per cell]
Mn (0.871, 0.249, 0.316) [1 per cell]
Co (0.117, 0.760, 0.696) [1 per cell]
Co (0.373, 0.249, 0.056) [1 per cell]
Co (0.378, 0.255, 0.572) [1 per cell]
Co (0.625, 0.755, 0.953) [1 per cell]
Co (0.872, 0.259, 0.808) [1 per cell]
O (0.022, 0.868, 0.849) [1 per cell]
O (0.067, 0.862, 0.359) [1 per cell]
O (0.164, 0.647, 0.531) [1 per cell]
O (0.222, 0.638, 0.026) [1 per cell]
O (0.318, 0.381, 0.728) [1 per cell]
O (0.324, 0.356, 0.228) [1 per cell]
O (0.420, 0.140, 0.396) [1 per cell]
O (0.428, 0.137, 0.913) [1 per cell]
O (0.553, 0.867, 0.594) [1 per cell]
O (0.569, 0.867, 0.080) [1 per cell]
O (0.678, 0.634, 0.298) [1 per cell]
O (0.678, 0.649, 0.791) [1 per cell]
O (0.820, 0.369, 0.976) [1 per cell]
O (0.822, 0.364, 0.464) [1 per cell]
O (0.925, 0.136, 0.164) [1 per cell]
O (0.937, 0.134, 0.668) [1 per cell]

# 5
Computed XRD peak list
Compound: Ti3Mn2Cr3O16
Radiation: Cu Kα (λ = 1.5418 Å)
Structure: the GGA+U geometry in the Materials Project
Neutral-atom scattering factors, no anomalous dispersion.

Main lines, in order of rising 2θ (10 to 90 degrees two-theta):
Position (°2θ)	I (rel.)	(hkl)
19.9	100	0 0 2
20.1	53	-1 1 1
20.2	18	1 0 1
36.4	24	1 -2 2
36.7	21	1 1 2
36.8	21	2 -1 2
46.5	18	0 2 -3
47.1	19	2 -2 3
63.1	25	2 2 0
63.5	19	4 -2 0

Atomic structure:
Unit cell a=5.865 b=5.892 c=8.946 alpha=90.30 beta=90.62 gamma=119.78
Space group P1 (No. 1)
Symmetry-distinct sites (fractional):
Ti (0.000, 0.000, 0.000) [1 per cell]
Ti (0.000, 0.500, 0.001) [1 per cell]
Ti (0.846, 0.661, 0.494) [1 per cell]
Mn (0.504, 0.499, 0.771) [1 per cell]
Mn (0.834, 0.169, 0.273) [1 per cell]
Cr (0.336, 0.166, 0.489) [1 per cell]
Cr (0.352, 0.671, 0.506) [1 per cell]
Cr (0.502, 0.000, 0.990) [1 per cell]
O (0.119, 0.309, 0.136) [1 per cell]
O (0.171, 0.836, 0.103) [1 per cell]
O (0.176, 0.833, 0.601) [1 per cell]
O (0.221, 0.356, 0.629) [1 per cell]
O (0.347, 0.667, 0.897) [1 per cell]
O (0.348, 0.178, 0.896) [1 per cell]
O (0.497, 0.508, 0.388) [1 per cell]
O (0.509, 0.014, 0.395) [1 per cell]
O (0.640, 0.787, 0.635) [1 per cell]
O (0.644, 0.360, 0.628) [1 per cell]
O (0.690, 0.305, 0.130) [1 per cell]
O (0.691, 0.887, 0.131) [1 per cell]
O (0.824, 0.661, 0.894) [1 per cell]
O (0.844, 0.172, 0.885) [1 per cell]
O (0.996, 0.009, 0.398) [1 per cell]
O (0.996, 0.493, 0.391) [1 per cell]

# 6
Computed XRD peak list
Compound: Li2VFeP2H2O10
Radiation: Cu Kα (λ = 1.5418 Å)
Structure: the GGA+U geometry in the Materials Project
Neutral-atom scattering factors, no anomalous dispersion.

Main lines, in order of rising 2θ (10 to 90 degrees two-theta):
Position (°2θ)	I (rel.)	(hkl)
17.6	29	1 0 -1
18.5	28	1 0 1
18.8	37	1 1 0
22.3	21	0 1 1
25.5	23	0 0 2
25.7	25	1 1 -2
26.5	59	1 -1 2
26.8	100	1 -2 1
29.0	67	2 1 -1
35.8	29	-1 1 2

Atomic structure:
Unit cell a=6.949 b=7.528 c=7.872 alpha=117.40 beta=92.03 gamma=90.87
Space group P1 (No. 1)
Symmetry-distinct sites (fractional):
Li (0.000, 0.000, 0.000) [1 per cell]
Li (0.177, 0.328, 0.973) [1 per cell]
Li (0.500, 0.500, 0.501) [1 per cell]
Li (0.678, 0.828, 0.474) [1 per cell]
V (0.589, 0.664, 0.987) [1 per cell]
V (0.839, 0.415, 0.237) [1 per cell]
Fe (0.089, 0.164, 0.487) [1 per cell]
Fe (0.339, 0.913, 0.737) [1 per cell]
P (0.242, 0.688, 0.278) [1 per cell]
P (0.435, 0.141, 0.196) [1 per cell]
P (0.742, 0.187, 0.777) [1 per cell]
P (0.936, 0.641, 0.696) [1 per cell]
H (0.298, 0.594, 0.754) [1 per cell]
H (0.379, 0.234, 0.718) [1 per cell]
H (0.799, 0.092, 0.256) [1 per cell]
H (0.880, 0.737, 0.220) [1 per cell]
O (0.063, 0.463, 0.666) [1 per cell]
O (0.064, 0.820, 0.713) [1 per cell]
O (0.114, 0.509, 0.259) [1 per cell]
O (0.115, 0.865, 0.308) [1 per cell]
O (0.257, 0.158, 0.705) [1 per cell]
O (0.285, 0.082, 0.025) [1 per cell]
O (0.334, 0.225, 0.389) [1 per cell]
O (0.343, 0.604, 0.084) [1 per cell]
O (0.393, 0.747, 0.448) [1 per cell]
O (0.419, 0.670, 0.766) [1 per cell]
O (0.563, 0.963, 0.167) [1 per cell]
O (0.564, 0.319, 0.215) [1 per cell]
O (0.613, 0.009, 0.761) [1 per cell]
O (0.614, 0.364, 0.807) [1 per cell]
O (0.759, 0.660, 0.208) [1 per cell]
O (0.783, 0.582, 0.526) [1 per cell]
O (0.836, 0.724, 0.890) [1 per cell]
O (0.843, 0.103, 0.584) [1 per cell]
O (0.894, 0.246, 0.948) [1 per cell]
O (0.921, 0.168, 0.269) [1 per cell]

# 7
Computed XRD peak list
Compound: MgV4O8F4
Radiation: Cu Kα (λ = 1.5418 Å)
Structure: the GGA+U geometry in the Materials Project
Neutral-atom scattering factors, no anomalous dispersion.

Main lines, in order of rising 2θ (10 to 90 degrees two-theta):
Position (°2θ)	I (rel.)	(hkl)
18.6	29	0 1 -1
18.9	60	0 1 1
20.1	100	1 0 -1
20.5	63	1 0 1
25.7	38	0 1 -2
26.1	57	0 1 2
26.7	48	1 0 -2
27.3	56	1 0 2
31.2	37	1 -1 2
37.0	26	1 2 0

Atomic structure:
Unit cell a=5.073 b=5.630 c=8.697 alpha=90.98 beta=91.28 gamma=91.59
Space group P1 (No. 1)
Symmetry-distinct sites (fractional):
Mg (0.000, 0.000, 0.000) [1 per cell]
V (0.030, 0.491, 0.053) [1 per cell]
V (0.225, 0.010, 0.314) [1 per cell]
V (0.519, 0.281, 0.798) [1 per cell]
V (0.725, 0.772, 0.561) [1 per cell]
O (0.006, 0.989, 0.454) [1 per cell]
O (0.081, 0.227, 0.183) [1 per cell]
O (0.164, 0.776, 0.176) [1 per cell]
O (0.281, 0.475, 0.929) [1 per cell]
O (0.504, 0.789, 0.415) [1 per cell]
O (0.563, 0.506, 0.670) [1 per cell]
O (0.687, 0.999, 0.690) [1 per cell]
O (0.774, 0.271, 0.950) [1 per cell]
F (0.000, 0.574, 0.548) [1 per cell]
F (0.258, 0.033, 0.841) [1 per cell]
F (0.497, 0.219, 0.352) [1 per cell]
F (0.779, 0.724, 0.985) [1 per cell]

# 8
Computed XRD peak list
Compound: Mn5FeO12
Radiation: Cu Kα (λ = 1.5418 Å)
Structure: the GGA+U geometry in the Materials Project
Neutral-atom scattering factors, no anomalous dispersion.

Main lines, in order of rising 2θ (10 to 90 degrees two-theta):
Position (°2θ)	I (rel.)	(hkl)
18.1	100	0 0 2
35.3	6	2 0 0
36.4	27	1 3 1
39.9	21	2 0 2
45.1	28	1 3 -3
51.7	12	2 0 4
59.4	14	1 3 -5
64.1	14	3 3 -1
77.7	5	1 3 -7
86.0	5	2 6 4

Atomic structure:
Unit cell a=5.089 b=8.828 c=9.825 alpha=90.00 beta=90.09 gamma=90.00
Space group C2/m (No. 12)
Symmetry-distinct sites (fractional):
Mn (0.000, 0.000, 0.000) [2 per cell]
Mn (0.000, 0.167, 0.500) [4 per cell]
Mn (0.000, 0.333, 0.000) [4 per cell]
Fe (0.000, 0.500, 0.500) [2 per cell]
O (0.161, 0.000, 0.598) [4 per cell]
O (0.166, 0.167, 0.903) [8 per cell]
O (0.166, 0.500, 0.903) [4 per cell]
O (0.170, 0.330, 0.598) [8 per cell]

# 9
Computed XRD peak list
Compound: Ba2TlNi2O7
Radiation: Cu Kα (λ = 1.5418 Å)
Structure: the GGA+U geometry in the Materials Project
Neutral-atom scattering factors, no anomalous dispersion.

Main lines, in order of rising 2θ (10 to 90 degrees two-theta):
Position (°2θ)	I (rel.)	(hkl)
27.5	100	1 0 2
31.2	58	1 0 3
32.8	34	0 0 5
34.4	50	1 1 0
48.3	35	1 1 5
49.5	26	2 0 0
53.1	19	1 0 7
57.6	26	2 1 2
59.7	28	2 1 3
60.6	22	2 0 5

Atomic structure:
Unit cell a=3.684 b=3.684 c=13.654 alpha=90.00 beta=90.00 gamma=90.00
Space group P4/mmm (No. 123)
Symmetry-distinct sites (fractional):
Ba (0.000, 0.000, 0.211) [2 per cell]
Tl (0.500, 0.500, 0.000) [1 per cell]
Ni (0.500, 0.500, 0.391) [2 per cell]
O (0.000, 0.000, 0.000) [1 per cell]
O (0.000, 0.500, 0.370) [4 per cell]
O (0.500, 0.500, 0.152) [2 per cell]